The following is a computed powder XRD pattern of PuC. It was derived from a PBE-relaxed structure, using copper Kα.
No peak broadening, texture or thermal motion is included.

Structure:
```
data_PuC
_cell_length_a 4.990
_cell_length_b 4.990
_cell_length_c 4.990
_cell_angle_alpha 90.00
_cell_angle_beta 90.00
_cell_angle_gamma 90.00
_symmetry_space_group_name_H-M 'F m -3 m'
_symmetry_Int_Tables_number 225
_symmetry_space_group_name_Hall '-F 4 2 3'
loop_
_atom_site_label
_atom_site_fract_x
_atom_site_fract_y
_atom_site_fract_z
Pu1 0.000 0.000 0.000
C1 0.000 0.000 0.500
```

Largest 8 diffraction maxima, sorted by position, 10 to 90 degrees two-theta:
- 31.04 deg, I = 100.0
- 36.00 deg, I = 61.5
- 51.82 deg, I = 44.1
- 61.65 deg, I = 46.1
- 64.72 deg, I = 15.2
- 76.34 deg, I = 7.2
- 84.67 deg, I = 19.9
- 87.41 deg, I = 21.1